Diffraction record for Na2Mg5P4O16. The X-ray powder pattern is simulated, not measured: it uses a crystal structure in the Materials Project, relaxed with GGA-PBE and Cu Kα (λ = 1.5418 Å).
Intensities are scaled so that the largest is 100.

Most intense lines, 2θ = 10–90°, in order of rising 2θ:
2θ (°), intensity, hkl
18.9, 56, 1 -1 0
23.4, 46, 1 1 -1
24.4, 69, 0 2 0
26.9, 100, 0 2 -2
27.9, 47, 1 0 -2
28.8, 98, 1 1 1
30.4, 43, 1 0 2
34.6, 75, 2 -1 0
38.0, 42, 1 -2 3
42.9, 44, -2 1 2

Cell and atoms:
```
Na2Mg5P4O16
1.0
5.2231 0.0000 0.0000
-1.6581 7.8424 0.0000
-0.0486 -2.9850 7.6549
Na Mg P O
2 5 4 16
direct
0.0629 0.0379 0.2946
0.9371 0.9621 0.7054
0.1355 0.4085 0.6720
0.4062 0.7451 0.2196
0.5000 0.0000 0.0000
0.5938 0.2549 0.7804
0.8645 0.5915 0.3280
0.1196 0.3019 0.0269
0.3692 0.7872 0.5700
0.6308 0.2128 0.4300
0.8804 0.6981 0.9731
0.1574 0.4922 0.1740
0.1747 0.8139 0.4375
0.1796 0.7835 0.0333
0.2333 0.6312 0.6235
0.2435 0.1704 0.0819
0.2576 0.3269 0.8644
0.3850 0.2475 0.5301
0.4333 0.9699 0.7330
0.5667 0.0301 0.2670
0.6150 0.7525 0.4699
0.7424 0.6731 0.1356
0.7565 0.8296 0.9181
0.7667 0.3688 0.3765
0.8204 0.2165 0.9667
0.8253 0.1861 0.5625
0.8426 0.5078 0.8260
```